Theoretical PXRD pattern of LuZnOs2 for Cu Kα (weighted mean of Kα1 and Kα2), from a DFT-relaxed cell (PBE, OQMD).
Peak positions follow from Bragg's law for the DFT cell and can differ from measured ones.

Principal peaks in the range 10° ≤ 2θ ≤ 90°, by angle:
d [Å], two_theta, I (rel.), index
3.696, 24.1, 8.4, 1 1 1
3.201, 27.9, 3.4, 2 0 0
2.263, 39.8, 100.0, 2 2 0
1.930, 47.1, 4.5, 3 1 1
1.600, 57.6, 17.1, 4 0 0
1.469, 63.3, 1.9, 3 3 1
1.431, 65.2, 1.4, 4 2 0
1.307, 72.3, 34.8, 4 2 2
1.232, 77.5, 1.5, 5 1 1
1.132, 85.9, 11.3, 4 4 0

Structure:
a = 6.402 Å, b = 6.402 Å, c = 6.402 Å
α = 90.00°, β = 90.00°, γ = 90.00°
Space group F-43m (No. 216)
Inequivalent atoms, fractional coordinates:
Lu: 0.000 0.000 0.000 [4 per cell]
Zn: 0.250 0.250 0.750 [4 per cell]
Os: 0.000 0.000 0.500 [4 per cell]
Os: 0.250 0.250 0.250 [4 per cell]